Structure and calculated powder X-ray diffraction pattern of Pr2GePt5 (a structure optimized by DFT (GGA-PBE); Cu Kα (λ = 1.5418 Å)).
Intensities are scaled so that the largest is 100.

Principal peaks in the range 15 to 90 degrees two-theta, in order of rising 2θ:
2theta, Rel. int.
16.5, 25
18.2, 16
19.4, 26
33.4, 100
36.9, 83
39.5, 37
41.6, 70
42.0, 17
51.1, 15
58.7, 40
68.5, 15
74.9, 18

Structure:
Unit cell a=6.3337 b=6.3337 c=6.3337 alpha=125.99 beta=116.85 gamma=87.76
Positions (direct):
Pr 0.0000 0.0000 0.0000
Pr 0.4601 0.4601 0.0000
Ge 0.1971 0.6971 0.5000
Pt 0.5131 0.4653 0.5308
Pt 0.5131 0.9824 0.0478
Pt 0.9306 0.4306 0.5000
Pt 0.9346 0.4653 0.9522
Pt 0.9346 0.9824 0.4692

Structure and calculated powder X-ray diffraction pattern of Nd4Sm2Er5 (a structure optimized by DFT (GGA-PBE); Cu Kα (λ = 1.5418 Å)).
Intensities are scaled so that the largest is 100.

Principal peaks in the range 15 to 90 degrees two-theta, in order of rising 2θ:
2theta, Rel. int.
29.9, 48
30.7, 58
31.7, 100
32.1, 91
43.4, 35
48.0, 15
54.0, 14
54.7, 11
55.2, 23
55.4, 19
58.0, 23
72.1, 14

Structure:
Unit cell a=10.2071 b=10.2071 c=6.3873 alpha=94.13 beta=94.13 gamma=33.17
Positions (direct):
Nd 0.0336 0.0336 0.2672
Nd 0.3061 0.3061 0.9273
Nd 0.6939 0.6939 0.0727
Nd 0.9664 0.9664 0.7328
Sm 0.4013 0.4013 0.4543
Sm 0.5987 0.5987 0.5457
Er 0.1313 0.1313 0.8586
Er 0.2136 0.2136 0.3950
Er 0.5000 0.5000 0.0000
Er 0.7864 0.7864 0.6050
Er 0.8687 0.8687 0.1414

Structure and calculated powder X-ray diffraction pattern of Ac6Os2N (a structure optimized by DFT (GGA-PBE); Cu Kα (λ = 1.5418 Å)).
Intensities are scaled so that the largest is 100.

Principal peaks in the range 15 to 90 degrees two-theta, in order of rising 2θ:
2theta, Rel. int.
28.1, 67
28.5, 80
28.7, 100
29.1, 65
29.3, 81
29.6, 75
31.3, 84
31.5, 91
31.7, 48
34.8, 81
43.7, 54
48.6, 50

Structure:
Unit cell a=6.9741 b=7.7840 c=12.2799 alpha=90.00 beta=122.69 gamma=90.00
Positions (direct):
Ac 0.1009 0.0502 0.2401
Ac 0.1009 0.4498 0.7401
Ac 0.2447 0.6865 0.0724
Ac 0.2447 0.8135 0.5724
Ac 0.3723 0.1686 0.0625
Ac 0.3723 0.3314 0.5625
Ac 0.6277 0.6686 0.4375
Ac 0.6277 0.8314 0.9375
Ac 0.7553 0.1865 0.4276
Ac 0.7553 0.3135 0.9276
Ac 0.8991 0.5502 0.2599
Ac 0.8991 0.9498 0.7599
Os 0.3024 0.1052 0.7616
Os 0.3024 0.3948 0.2616
Os 0.6976 0.6052 0.7384
Os 0.6976 0.8948 0.2384
N 0.0000 0.0000 0.0000
N 0.0000 0.5000 0.5000

Structure and calculated powder X-ray diffraction pattern of CaZn8Ag4 (a structure optimized by DFT (GGA-PBE); Cu Kα (λ = 1.5418 Å)).
Intensities are scaled so that the largest is 100.

Principal peaks in the range 15 to 90 degrees two-theta, in order of rising 2θ:
2theta, Rel. int.
19.7, 53
33.8, 24
37.4, 100
39.4, 58
40.1, 58
42.7, 97
44.5, 28
45.1, 57
65.7, 20
71.1, 26
74.6, 21
83.2, 25

Structure:
Unit cell a=6.9659 b=6.9659 c=6.9659 alpha=99.58 beta=99.58 gamma=131.85
Positions (direct):
Ca 0.0000 0.0000 0.0000
Zn 0.0000 0.3568 0.3568
Zn 0.0000 0.6432 0.6432
Zn 0.2863 0.5000 0.7863
Zn 0.3568 0.0000 0.3568
Zn 0.5000 0.2863 0.7863
Zn 0.5000 0.7137 0.2137
Zn 0.6432 0.0000 0.6432
Zn 0.7137 0.5000 0.2137
Ag 0.0000 0.0000 0.5000
Ag 0.0000 0.5000 0.0000
Ag 0.5000 0.0000 0.0000
Ag 0.5000 0.5000 0.5000

Structure and calculated powder X-ray diffraction pattern of Zn2Ni8Mo (a structure optimized by DFT (GGA-PBE); Cu Kα (λ = 1.5418 Å)).
Intensities are scaled so that the largest is 100.

Principal peaks in the range 15 to 90 degrees two-theta, in order of rising 2θ:
2theta, Rel. int.
24.2, 13
33.9, 9
44.2, 100
45.0, 86
46.5, 40
47.6, 40
60.9, 15
68.7, 23
80.7, 13
84.0, 13
86.2, 13
86.8, 12

Structure:
Unit cell a=6.0909 b=6.0909 c=3.8219 alpha=90.00 beta=90.00 gamma=105.89
Positions (direct):
Zn 0.1236 0.8764 0.0000
Zn 0.8764 0.1236 0.0000
Ni 0.1680 0.1680 0.5000
Ni 0.1998 0.4630 0.0000
Ni 0.2543 0.7457 0.5000
Ni 0.4630 0.1998 0.0000
Ni 0.5370 0.8002 0.0000
Ni 0.7457 0.2543 0.5000
Ni 0.8002 0.5370 0.0000
Ni 0.8320 0.8320 0.5000
Mo 0.5000 0.5000 0.5000

Structure and calculated powder X-ray diffraction pattern of Al4SiPd (a structure optimized by DFT (GGA-PBE); Cu Kα (λ = 1.5418 Å)).
Intensities are scaled so that the largest is 100.

Principal peaks in the range 15 to 90 degrees two-theta, in order of rising 2θ:
2theta, Rel. int.
24.6, 25
25.8, 85
32.6, 8
39.1, 8
42.7, 100
44.8, 11
50.6, 38
59.3, 8
62.0, 16
68.3, 12
78.2, 25
84.0, 11

Structure:
Unit cell a=7.3241 b=7.3241 c=7.3241 alpha=33.61 beta=33.61 gamma=33.61
Positions (direct):
Al 0.1200 0.1200 0.1200
Al 0.3704 0.3704 0.3704
Al 0.6296 0.6296 0.6296
Al 0.8800 0.8800 0.8800
Si 0.5000 0.5000 0.5000
Pd 0.0000 0.0000 0.0000